Structure and simulated X-ray powder pattern of CdH5C6N2O5 (a cell relaxed with GGA-PBE; a wavelength of 1.5418 Å).
Lines closer than 0.1° are merged.

Most intense lines, 2θ = 10–80°, in order of rising 2θ:
hkl 0 0 1, 12.3 deg, I = 100; hkl 0 1 1, 13.7 deg, I = 60; hkl 1 0 0, 14.7 deg, I = 23; hkl 1 1 1, 17.5 deg, I = 18; hkl 1 1 0, 19.8 deg, I = 33; hkl 1 -1 1, 21.7 deg, I = 26; hkl 0 1 2, 23.2 deg, I = 37; hkl 2 0 1, 27.8 deg, I = 51; hkl 2 0 2, 31.3 deg, I = 69; hkl -1 1 2, 31.5 deg, I = 25

Crystal structure
a = 6.455 Å, b = 7.888 Å, c = 8.245 Å
α = 68.66°, β = 69.69°, γ = 86.97°
Element x y z (fractional)
Cd: 0.142 0.314 0.127
Cd: 0.858 0.686 0.873
H: 0.016 0.468 0.681
H: 0.070 0.658 0.510
H: 0.284 0.046 0.458
H: 0.353 0.822 0.563
H: 0.477 0.343 0.639
H: 0.523 0.657 0.361
H: 0.647 0.178 0.437
H: 0.716 0.954 0.542
H: 0.930 0.342 0.490
H: 0.984 0.532 0.319
C: 0.120 0.902 0.209
C: 0.244 0.985 0.005
C: 0.349 0.908 0.874
C: 0.358 0.716 0.887
C: 0.412 0.209 0.745
C: 0.423 0.961 0.468
C: 0.577 0.039 0.532
C: 0.588 0.791 0.255
C: 0.642 0.284 0.113
C: 0.651 0.092 0.126
C: 0.756 0.015 0.995
C: 0.880 0.098 0.791
N: 0.288 0.172 0.921
N: 0.455 0.052 0.712
N: 0.545 0.948 0.288
N: 0.712 0.828 0.079
O: 0.041 0.009 0.295
O: 0.077 0.596 0.639
O: 0.106 0.729 0.289
O: 0.172 0.620 0.969
O: 0.461 0.343 0.185
O: 0.539 0.657 0.815
O: 0.828 0.380 0.031
O: 0.894 0.271 0.711
O: 0.923 0.404 0.361
O: 0.959 0.991 0.705